For NiAgF4, DFT lattice parameters and positions (PBE+U) gives the calculated X-ray diffraction stick pattern in this record (Cu Kα (λ = 1.5418 Å)).

Atomic structure:
```
data_NiAgF4
_chemical_formula_sum 'Ni2 Ag2 F8'
_space_group_name_H-M_alt 'P 1 21/c 1'
_space_group_IT_number 14
_cell_length_a 5.607
_cell_length_b 5.016
_cell_length_c 5.530
_cell_angle_alpha 90.00
_cell_angle_beta 102.37
_cell_angle_gamma 90.00
loop_
_space_group_symop_operation_xyz
'x,y,z'
'-x,-y,-z'
'-x,y+1/2,-z+1/2'
'x,-y+1/2,z+1/2'
loop_
_atom_site_label
_atom_site_type_symbol
_atom_site_fract_x
_atom_site_fract_y
_atom_site_fract_z
Ni1 Ni 0.000 0.000 0.000
Ag1 Ag 0.500 0.000 0.500
F1 F 0.127 0.213 0.747
F2 F 0.338 0.661 0.633
```

Largest 6 diffraction maxima, low angle first, 10° ≤ 2θ ≤ 90°:
| 2theta | Rel. int. | h k l |
| --- | --- | --- |
| 27.18 | 100.0 | 1 1 -1 |
| 31.22 | 59.2 | 1 1 1 |
| 32.70 | 24.7 | 2 0 0 |
| 49.27 | 20.3 | 2 2 0 |
| 49.60 | 25.9 | 0 2 2 |
| 53.26 | 18.7 | 1 1 -3 |